The following is a computed powder diffraction line list of CaTi2O4. It was derived from the GGA-PBE geometry in the Materials Project, using CuKα.
Lines closer than 0.1° are merged.

Most intense lines, 2θ = 10–80°, in order of falling intensity:
- 2.723 Å, I 100
- 2.529 Å, I 97
- 2.734 Å, I 54
- 2.247 Å, I 49
- 1.532 Å, I 41
- 1.856 Å, I 41
- 2.126 Å, I 30
- 1.313 Å, I 29
- 1.851 Å, I 25
- 1.498 Å, I 25

Atomic structure:
a b c (Å): 9.4191 2.9950 10.9346
angles (deg): 90.00 90.00 90.00
Positions (direct):
Ca 0.2404 0.2500 0.1575
Ca 0.2596 0.7500 0.6575
Ca 0.7404 0.2500 0.3425
Ca 0.7596 0.7500 0.8425
Ti 0.0625 0.2500 0.3914
Ti 0.0828 0.2500 0.8973
Ti 0.4172 0.7500 0.3973
Ti 0.4375 0.7500 0.8914
Ti 0.5625 0.2500 0.1086
Ti 0.5828 0.2500 0.6027
Ti 0.9172 0.7500 0.1027
Ti 0.9375 0.7500 0.6086
O 0.0213 0.7500 0.7819
O 0.0888 0.2500 0.5749
O 0.1180 0.7500 0.0271
O 0.2092 0.7500 0.3387
O 0.2908 0.2500 0.8387
O 0.3820 0.2500 0.5271
O 0.4112 0.7500 0.0749
O 0.4787 0.2500 0.2819
O 0.5213 0.7500 0.7181
O 0.5888 0.2500 0.9251
O 0.6180 0.7500 0.4729
O 0.7092 0.7500 0.1613
O 0.7908 0.2500 0.6613
O 0.8820 0.2500 0.9729
O 0.9112 0.7500 0.4251
O 0.9787 0.2500 0.2181

The following is a computed powder diffraction line list of Ca3Ti2O7. It was derived from the GGA-PBE geometry in the Materials Project, using CuKα.
Lines closer than 0.1° are merged.

Most intense lines, 2θ = 10–80°, in order of falling intensity:
- 2.752 Å, I 100
- 1.946 Å, I 74
- 2.769 Å, I 37
- 2.732 Å, I 35
- 1.594 Å, I 28
- 1.581 Å, I 26
- 1.376 Å, I 19
- 4.869 Å, I 15
- 1.586 Å, I 11
- 1.891 Å, I 9

Atomic structure:
a b c (Å): 10.1136 10.1136 5.5373
angles (deg): 90.00 90.00 31.34
Positions (direct):
Ca 0.0538 0.5709 0.4172
Ca 0.2464 0.7536 0.5000
Ca 0.4291 0.9462 0.4172
Ca 0.5709 0.0538 0.9172
Ca 0.7536 0.2464 0.0000
Ca 0.9462 0.4291 0.9172
Ti 0.1488 0.6512 0.9497
Ti 0.3488 0.8512 0.9497
Ti 0.6512 0.1488 0.4497
Ti 0.8512 0.3488 0.4497
O 0.0160 0.3795 0.4873
O 0.0449 0.1227 0.7582
O 0.1227 0.0449 0.2582
O 0.3244 0.6756 0.9485
O 0.3450 0.4282 0.6763
O 0.3795 0.0160 0.9873
O 0.4282 0.3450 0.1763
O 0.5718 0.6550 0.6763
O 0.6205 0.9840 0.4873
O 0.6550 0.5718 0.1763
O 0.6756 0.3244 0.4485
O 0.8773 0.9551 0.7582
O 0.9551 0.8773 0.2582
O 0.9840 0.6205 0.9873

The following is a computed powder diffraction line list of CaTi2O4. It was derived from the GGA-PBE geometry in the Materials Project, using CuKα.
Lines closer than 0.1° are merged.

Most intense lines, 2θ = 10–80°, in order of falling intensity:
- 2.687 Å, I 100
- 2.642 Å, I 68
- 1.567 Å, I 66
- 3.133 Å, I 37
- 2.208 Å, I 33
- 2.670 Å, I 31
- 1.711 Å, I 27
- 1.586 Å, I 18
- 2.223 Å, I 17
- 1.538 Å, I 16

Atomic structure:
a b c (Å): 6.2678 6.2678 6.2678
angles (deg): 121.23 119.18 89.65
Positions (direct):
Ca 0.0000 0.0000 0.0000
Ca 0.5000 0.0000 0.5000
Ti 0.0000 0.0000 0.5000
Ti 0.0000 0.5000 0.0000
Ti 0.3682 0.6182 0.7500
Ti 0.6318 0.3818 0.2500
O 0.2312 0.7376 0.4937
O 0.2368 0.2540 0.5172
O 0.2368 0.7196 0.9828
O 0.2561 0.2624 0.9937
O 0.7439 0.7376 0.0063
O 0.7632 0.2804 0.0172
O 0.7632 0.7460 0.4828
O 0.7688 0.2624 0.5063

The following is a computed powder diffraction line list of CaTi2O6. It was derived from the GGA-PBE geometry in the Materials Project, using CuKα.
Lines closer than 0.1° are merged.

Most intense lines, 2θ = 10–80°, in order of falling intensity:
- 3.345 Å, I 100
- 5.018 Å, I 50
- 3.363 Å, I 50
- 1.801 Å, I 37
- 2.302 Å, I 32
- 1.805 Å, I 23
- 2.593 Å, I 23
- 1.505 Å, I 22
- 1.814 Å, I 19
- 2.322 Å, I 14

Atomic structure:
a b c (Å): 10.0353 8.9610 5.2258
angles (deg): 90.00 90.29 90.00
Positions (direct):
Ca 0.2497 0.0032 0.0064
Ca 0.2497 0.4968 0.5064
Ca 0.7503 0.5032 0.4936
Ca 0.7503 0.9968 0.9936
Ti 0.0170 0.6720 0.0002
Ti 0.0170 0.8280 0.5002
Ti 0.4865 0.1621 0.5103
Ti 0.4865 0.3379 0.0103
Ti 0.5135 0.6621 0.9897
Ti 0.5135 0.8379 0.4897
Ti 0.9830 0.1720 0.4998
Ti 0.9830 0.3280 0.9998
O 0.0953 0.1753 0.1890
O 0.0953 0.3247 0.6890
O 0.1020 0.0039 0.6473
O 0.1020 0.4961 0.1473
O 0.1165 0.6829 0.6868
O 0.1165 0.8171 0.1868
O 0.3920 0.5015 0.8683
O 0.3920 0.9985 0.3683
O 0.3938 0.1812 0.8287
O 0.3938 0.3188 0.3287
O 0.3979 0.6774 0.3183
O 0.3979 0.8226 0.8183
O 0.6021 0.1774 0.1817
O 0.6021 0.3226 0.6817
O 0.6062 0.6812 0.6713
O 0.6062 0.8188 0.1713
O 0.6080 0.0015 0.6317
O 0.6080 0.4985 0.1317
O 0.8835 0.1829 0.8132
O 0.8835 0.3171 0.3132
O 0.8980 0.5039 0.8527
O 0.8980 0.9961 0.3527
O 0.9047 0.6753 0.3110
O 0.9047 0.8247 0.8110

The following is a computed powder diffraction line list of CaTi2O4. It was derived from the GGA-PBE geometry in the Materials Project, using CuKα.
Lines closer than 0.1° are merged.

Most intense lines, 2θ = 10–80°, in order of falling intensity:
- 3.146 Å, I 100
- 2.865 Å, I 90
- 2.585 Å, I 79
- 5.731 Å, I 71
- 1.881 Å, I 59
- 1.466 Å, I 59
- 2.224 Å, I 52
- 2.485 Å, I 47
- 2.138 Å, I 41
- 2.037 Å, I 38

Atomic structure:
a b c (Å): 7.6921 7.6921 9.8151
angles (deg): 129.59 129.59 22.73
Positions (direct):
Ca 0.1461 0.1461 0.1394
Ca 0.8539 0.8539 0.8606
Ti 0.1364 0.1364 0.8124
Ti 0.3570 0.3570 0.5253
Ti 0.6430 0.6430 0.4747
Ti 0.8636 0.8636 0.1876
O 0.0327 0.0327 0.3249
O 0.2763 0.2763 0.6304
O 0.3302 0.3302 0.0122
O 0.3502 0.3502 0.3154
O 0.6498 0.6498 0.6846
O 0.6698 0.6698 0.9878
O 0.7237 0.7237 0.3696
O 0.9673 0.9673 0.6751

The following is a computed powder diffraction line list of CaTiO2. It was derived from the GGA-PBE geometry in the Materials Project, using CuKα.
Lines closer than 0.1° are merged.

Most intense lines, 2θ = 10–80°, in order of falling intensity:
- 2.249 Å, I 100
- 2.282 Å, I 71
- 2.849 Å, I 53
- 2.505 Å, I 46
- 8.370 Å, I 41
- 8.197 Å, I 33
- 2.688 Å, I 31
- 2.129 Å, I 26
- 1.514 Å, I 25
- 1.709 Å, I 23

Atomic structure:
a b c (Å): 3.0274 8.3386 8.3839
angles (deg): 93.06 90.74 100.08
Positions (direct):
Ca 0.1410 0.2390 0.4304
Ca 0.2773 0.5421 0.1762
Ca 0.7227 0.4579 0.8238
Ca 0.8590 0.7610 0.5696
Ti 0.0321 0.1022 0.7775
Ti 0.4086 0.8360 0.9070
Ti 0.5914 0.1640 0.0930
Ti 0.9679 0.8978 0.2225
O 0.1446 0.2896 0.9601
O 0.3052 0.6351 0.7392
O 0.3612 0.7583 0.3470
O 0.4512 0.9462 0.6961
O 0.5488 0.0538 0.3039
O 0.6388 0.2417 0.6530
O 0.6948 0.3649 0.2608
O 0.8554 0.7104 0.0399

The following is a computed powder diffraction line list of CaTi2O4. It was derived from the GGA-PBE geometry in the Materials Project, using CuKα.
Lines closer than 0.1° are merged.

Most intense lines, 2θ = 10–80°, in order of falling intensity:
- 2.654 Å, I 100
- 1.577 Å, I 52
- 2.719 Å, I 47
- 5.122 Å, I 42
- 1.691 Å, I 37
- 2.194 Å, I 31
- 3.154 Å, I 30
- 1.551 Å, I 26
- 1.742 Å, I 22
- 2.269 Å, I 16

Atomic structure:
a b c (Å): 6.3118 6.3118 6.3118
angles (deg): 121.12 121.12 88.08
Positions (direct):
Ca 0.3750 0.6250 0.7500
Ca 0.6250 0.3750 0.2500
Ti 0.0000 0.0000 0.0000
Ti 0.0000 0.0000 0.5000
Ti 0.0000 0.5000 0.0000
Ti 0.5000 0.0000 0.5000
O 0.1989 0.2288 0.9701
O 0.2288 0.1989 0.4701
O 0.2288 0.7588 0.0299
O 0.2412 0.7712 0.4701
O 0.7588 0.2288 0.5299
O 0.7712 0.2412 0.9701
O 0.7712 0.8011 0.5299
O 0.8011 0.7712 0.0299

The following is a computed powder diffraction line list of CaTi2O6. It was derived from the GGA-PBE geometry in the Materials Project, using CuKα.
Lines closer than 0.1° are merged.

Most intense lines, 2θ = 10–80°, in order of falling intensity:
- 3.377 Å, I 100
- 5.075 Å, I 100
- 3.348 Å, I 98
- 3.363 Å, I 86
- 1.809 Å, I 72
- 2.592 Å, I 63
- 1.497 Å, I 58
- 2.304 Å, I 55
- 1.822 Å, I 35
- 2.316 Å, I 33

Atomic structure:
a b c (Å): 7.2373 7.2373 5.1825
angles (deg): 110.55 110.55 76.72
Positions (direct):
Ca 0.2482 0.7518 0.7500
Ca 0.7518 0.2482 0.2500
Ti 0.1792 0.3545 0.0225
Ti 0.3545 0.1792 0.5225
Ti 0.6455 0.8208 0.4775
Ti 0.8208 0.6455 0.9775
O 0.0800 0.2220 0.5827
O 0.1003 0.6077 0.9639
O 0.2220 0.0800 0.0827
O 0.2906 0.4280 0.4343
O 0.3923 0.8997 0.5361
O 0.4280 0.2906 0.9343
O 0.5720 0.7094 0.0657
O 0.6077 0.1003 0.4639
O 0.7094 0.5720 0.5657
O 0.7780 0.9200 0.9173
O 0.8997 0.3923 0.0361
O 0.9200 0.7780 0.4173

The following is a computed powder diffraction line list of CaTi2O4. It was derived from the GGA-PBE geometry in the Materials Project, using CuKα.
Lines closer than 0.1° are merged.

Most intense lines, 2θ = 10–80°, in order of falling intensity:
- 2.652 Å, I 100
- 2.210 Å, I 54
- 1.608 Å, I 50
- 2.600 Å, I 46
- 1.521 Å, I 46
- 2.766 Å, I 46
- 3.217 Å, I 34
- 1.671 Å, I 23
- 1.698 Å, I 23
- 3.042 Å, I 23

Atomic structure:
a b c (Å): 6.4548 6.4548 6.4548
angles (deg): 56.23 56.23 56.23
Positions (direct):
Ca 0.0000 0.0000 0.0000
Ca 0.3679 0.3679 0.3679
Ti 0.5061 0.9901 0.9901
Ti 0.6162 0.6162 0.6162
Ti 0.9901 0.5061 0.9901
Ti 0.9901 0.9901 0.5061
O 0.2293 0.2293 0.2293
O 0.2414 0.7403 0.7403
O 0.2501 0.2501 0.7949
O 0.2501 0.7949 0.2501
O 0.7357 0.7357 0.7357
O 0.7403 0.2414 0.7403
O 0.7403 0.7403 0.2414
O 0.7949 0.2501 0.2501

The following is a computed powder diffraction line list of CaTi2O4. It was derived from the GGA-PBE geometry in the Materials Project, using CuKα.
Lines closer than 0.1° are merged.

Most intense lines, 2θ = 10–80°, in order of falling intensity:
- 2.667 Å, I 100
- 2.217 Å, I 58
- 2.639 Å, I 52
- 1.591 Å, I 51
- 1.545 Å, I 50
- 2.725 Å, I 49
- 3.182 Å, I 32
- 1.705 Å, I 29
- 3.091 Å, I 26
- 1.690 Å, I 24

Atomic structure:
a b c (Å): 6.1820 6.1820 15.8259
angles (deg): 90.00 90.00 120.00
Positions (direct):
Ca 0.0000 0.0000 0.0000
Ca 0.0000 0.0000 0.2512
Ca 0.0000 0.0000 0.6234
Ca 0.3333 0.6667 0.5831
Ca 0.6667 0.3333 0.2864
Ca 0.6667 0.3333 0.9184
Ti 0.0111 0.5055 0.1222
Ti 0.1683 0.3367 0.7946
Ti 0.1683 0.8317 0.7946
Ti 0.3333 0.6667 0.3376
Ti 0.3333 0.6667 0.9547
Ti 0.3449 0.1725 0.4590
Ti 0.4945 0.5055 0.1222
Ti 0.4945 0.9889 0.1222
Ti 0.6633 0.8317 0.7946
Ti 0.6667 0.3333 0.6735
Ti 0.8275 0.1725 0.4590
Ti 0.8275 0.6551 0.4590
O 0.0000 0.0000 0.3915
O 0.0000 0.0000 0.8596
O 0.0025 0.5012 0.3796
O 0.0453 0.5227 0.8702
O 0.1503 0.3006 0.5239
O 0.1503 0.8497 0.5239
O 0.1927 0.3855 0.0420
O 0.1927 0.8073 0.0420
O 0.3333 0.6667 0.2108
O 0.3333 0.6667 0.7269
O 0.3387 0.1694 0.7192
O 0.3599 0.1800 0.1850
O 0.4773 0.5227 0.8702
O 0.4773 0.9547 0.8702
O 0.4988 0.5012 0.3796
O 0.4988 0.9975 0.3796
O 0.6145 0.8073 0.0420
O 0.6667 0.3333 0.0557
O 0.6667 0.3333 0.5496
O 0.6994 0.8497 0.5239
O 0.8200 0.1800 0.1850
O 0.8200 0.6401 0.1850
O 0.8306 0.1694 0.7192
O 0.8306 0.6613 0.7192